Structure and calculated PXRD pattern of Li3NiF6 (a crystal structure in Alexandria, relaxed with PBE+U; Cu Ka).
Kinematic intensities with the Lorentz-polarization factor, no thermal factor.

Crystal structure
```
data_Li3NiF6
_cell_length_a 8.5197
_cell_length_b 8.5197
_cell_length_c 10.0828
_cell_angle_alpha 90.00
_cell_angle_beta 90.00
_cell_angle_gamma 120.00
_space_group_name_H-M_alt 'R -3'
_space_group_IT_number 148
_space_group_name_Hall '-R 3'
loop_
_atom_site_label
_atom_site_fract_x
_atom_site_fract_y
_atom_site_fract_z
Li1 0.0416 0.2677 0.2095
Ni1 0.0000 0.0000 0.0000
Ni2 0.0000 0.0000 0.5000
F1 0.0194 0.1857 0.8836
F2 0.0265 0.1999 0.3976
```

Principal peaks in the range 2θ from 10° to 90°, most intense first:
hkl, 2θ/deg, intensity
0 1 2, 21.35, 100
1 1 0, 20.85, 91
1 2 2, 36.83, 58
2 0 2, 30.01, 56
2 1 4, 48.69, 53
3 1 2, 47.98, 39